(1)
# Tb3Nd4Y2
Calculated powder diffraction line list, Cu Ka. Input: a cell relaxed with PBE.

Largest 6 diffraction maxima, by angle, 2θ from 10° to 90°:
index  two_theta  I (rel.)
2 1 2  30.26  100.0
1 2 3  35.08  50.5
0 3 1  50.41  18.1
3 3 2  50.51  18.1
1 2 6  59.94  28.5
4 2 1  60.04  14.2

a b c (Å): 6.2563 6.2644 9.5691
angles (deg): 71.01 71.05 60.07
Space group P-1 (No. 2)
Inequivalent atoms, fractional coordinates:
Tb 0.0000 0.0000 0.0000 (multiplicity 1)
Tb 0.1108 0.4441 0.6654 (multiplicity 2)
Nd 0.2207 0.8884 0.3341 (multiplicity 2)
Nd 0.3324 0.3335 0.0001 (multiplicity 2)
Y 0.4450 0.7785 0.6658 (multiplicity 2)



(2)
# Sc3SbRh
Calculated powder diffraction line list, Cu Ka. Input: a cell relaxed with PBE.

Largest 6 diffraction maxima, by angle, 2θ from 10° to 90°:
index  two_theta  I (rel.)
1 1 0  25.31  100.0
1 1 1  31.12  27.0
2 0 0  36.09  77.7
2 1 1  44.60  43.8
2 2 0  51.97  52.1
4 2 0  87.69  22.4

a b c (Å): 4.9770 4.9770 4.9770
angles (deg): 90.00 90.00 90.00
Space group Pm-3m (No. 221)
Inequivalent atoms, fractional coordinates:
Sc 0.0000 0.0000 0.5000 (multiplicity 3)
Sb 0.5000 0.5000 0.5000 (multiplicity 1)
Rh 0.0000 0.0000 0.0000 (multiplicity 1)



(3)
# VCu2Te4
Calculated powder diffraction line list, Cu Ka. Input: a cell relaxed with PBE.

Largest 6 diffraction maxima, by angle, 2θ from 10° to 90°:
index  two_theta  I (rel.)
1 1 2  26.24  100.0
2 2 0  42.96  21.9
2 0 4  43.79  40.8
3 1 2  51.04  31.4
1 1 6  52.49  14.0
4 2 4  79.30  13.5

a b c (Å): 5.9551 5.9551 11.4900
angles (deg): 90.00 90.00 90.00
Space group I-42m (No. 121)
Inequivalent atoms, fractional coordinates:
V 0.0000 0.0000 0.0000 (multiplicity 2)
Cu 0.0000 0.5000 0.2500 (multiplicity 4)
Te 0.2492 0.2492 0.6196 (multiplicity 8)



(4)
# Pm3SmGa3
Calculated powder diffraction line list, Cu Ka. Input: a cell relaxed with PBE.

Largest 6 diffraction maxima, by angle, 2θ from 10° to 90°:
index  two_theta  I (rel.)
2 2 0  24.25  27.2
0 4 0  34.46  26.7
4 0 0  34.65  26.1
2 2 2  35.31  100.0
4 4 0  49.68  18.7
2 6 2  62.29  18.9

a b c (Å): 10.3543 10.4100 7.0469
angles (deg): 90.00 90.00 90.00
Space group Cmmm (No. 65)
Inequivalent atoms, fractional coordinates:
Pm 0.0000 0.2440 0.0000 (multiplicity 4)
Pm 0.2402 0.0000 0.5000 (multiplicity 4)
Pm 0.2497 0.0000 0.0000 (multiplicity 4)
Sm 0.0000 0.2503 0.5000 (multiplicity 4)
Ga 0.0000 0.5000 0.2540 (multiplicity 4)
Ga 0.2500 0.2500 0.2527 (multiplicity 8)



(5)
# Dy2CoNi
Calculated powder diffraction line list, Cu Ka. Input: a cell relaxed with PBE.

Largest 6 diffraction maxima, by angle, 2θ from 10° to 90°:
index  two_theta  I (rel.)
1 1 0  28.47  39.3
1 1 -2  33.72  100.0
2 0 0  34.23  25.4
1 0 2  34.63  52.4
1 1 2  41.83  42.7
0 2 0  46.42  22.3

a b c (Å): 5.5848 3.9120 7.7220
angles (deg): 90.00 110.26 90.00
Space group P2_1/m (No. 11)
Inequivalent atoms, fractional coordinates:
Dy 0.2154 0.2500 0.4332 (multiplicity 2)
Dy 0.2171 0.2500 0.9249 (multiplicity 2)
Co 0.3639 0.7500 0.7174 (multiplicity 2)
Ni 0.3621 0.7500 0.2145 (multiplicity 2)



(6)
# Tb4Dy8Er3
Calculated powder diffraction line list, Cu Ka. Input: a cell relaxed with PBE.

Largest 6 diffraction maxima, by angle, 2θ from 10° to 90°:
index  two_theta  I (rel.)
0 2 1  30.11  26.7
0 0 12  30.61  56.4
0 2 4  31.71  100.0
2 0 8  36.46  73.0
2 2 0  53.23  37.1
2 2 12  62.66  44.2

a b c (Å): 6.8835 6.8835 35.0482
angles (deg): 90.00 90.00 120.00
Space group R-3m (No. 166, hexagonal axes)
Inequivalent atoms, fractional coordinates:
Tb 0.0000 0.0000 0.0000 (multiplicity 3)
Tb 0.0000 0.0000 0.1636 (multiplicity 6)
Tb 0.0000 0.0000 0.5000 (multiplicity 3)
Dy 0.0000 0.0000 0.2550 (multiplicity 6)
Dy 0.0018 0.5009 0.2508 (multiplicity 18)
Er 0.0000 0.5000 0.0000 (multiplicity 9)



(7)
# TbDy2Pu
Calculated powder diffraction line list, Cu Ka. Input: a cell relaxed with PBE.

Largest 6 diffraction maxima, by angle, 2θ from 10° to 90°:
index  two_theta  I (rel.)
0 1 2  29.63  38.3
0 0 12  31.51  47.3
0 1 5  32.03  100.0
1 0 7  34.60  79.4
1 1 0  51.68  36.2
1 1 12  61.80  42.3

a b c (Å): 3.5374 3.5374 34.0661
angles (deg): 90.00 90.00 120.00
Space group R3m (No. 160, hexagonal axes)
Inequivalent atoms, fractional coordinates:
Tb 0.0000 0.0000 0.0000 (multiplicity 3)
Dy 0.0000 0.0000 0.5817 (multiplicity 3)
Dy 0.0000 0.0000 0.7507 (multiplicity 3)
Pu 0.0000 0.0000 0.1658 (multiplicity 3)



(8)
# BaCu3
Calculated powder diffraction line list, Cu Ka. Input: a cell relaxed with PBE.

Largest 6 diffraction maxima, by angle, 2θ from 10° to 90°:
index  two_theta  I (rel.)
1 1 0  25.48  66.2
2 0 0  29.54  22.4
2 0 1  36.34  100.0
2 1 0  39.42  27.9
3 0 1  49.95  30.9
3 1 1  59.10  51.7

a b c (Å): 6.9841 6.9841 4.2915
angles (deg): 90.00 90.00 120.00
Space group P6_3/mmc (No. 194)
Inequivalent atoms, fractional coordinates:
Ba 0.3333 0.6667 0.2500 (multiplicity 2)
Cu 0.1175 0.2351 0.7500 (multiplicity 6)



(9)
# Ac8Nd3Er2
Calculated powder diffraction line list, Cu Ka. Input: a cell relaxed with PBE.

Largest 6 diffraction maxima, by angle, 2θ from 10° to 90°:
index  two_theta  I (rel.)
2 2 -1  23.68  23.4
2 0 2  29.19  71.6
3 1 -2  29.31  81.9
5 1 0  30.21  100.0
1 3 1  30.77  71.5
3 3 0  32.15  31.6

a b c (Å): 15.7312 9.9127 7.2557
angles (deg): 90.00 99.60 90.00
Space group C2/m (No. 12)
Inequivalent atoms, fractional coordinates:
Ac 0.0884 0.0000 0.3717 (multiplicity 4)
Ac 0.1202 0.1857 0.9285 (multiplicity 8)
Ac 0.1985 0.5000 0.3170 (multiplicity 4)
Nd 0.0000 0.3388 0.5000 (multiplicity 4)
Nd 0.0000 0.5000 0.0000 (multiplicity 2)
Er 0.1926 0.5000 0.7989 (multiplicity 4)



(10)
# Rb12SnAu6
Calculated powder diffraction line list, Cu Ka. Input: a cell relaxed with PBE.

Largest 6 diffraction maxima, by angle, 2θ from 10° to 90°:
index  two_theta  I (rel.)
1 1 0  10.28  20.8
2 0 0  14.55  42.6
3 2 1  27.42  100.0
3 3 0  31.17  21.5
5 1 0  37.68  53.5
6 0 0  44.67  17.8

a b c (Å): 12.1722 12.1722 12.1722
angles (deg): 90.00 90.00 90.00
Space group Im-3 (No. 204)
Inequivalent atoms, fractional coordinates:
Rb 0.0000 0.1753 0.3012 (multiplicity 24)
Sn 0.0000 0.0000 0.0000 (multiplicity 2)
Au 0.0000 0.3808 0.5000 (multiplicity 12)